# Mn2SnS4
Theoretical powder diffractogram, a wavelength of 1.5418 Å. Input: DFT lattice parameters and positions (PBE).
Intensities are scaled so that the largest is 100.

Structure:
```
data_Mn2SnS4
_space_group_name_H-M_alt 'I m m a'
_space_group_IT_number 74
_space_group_name_Hall '-I 2b 2'
_cell_length_a 7.168
_cell_length_b 7.289
_cell_length_c 10.297
_cell_angle_alpha 90.00
_cell_angle_beta 90.00
_cell_angle_gamma 90.00
loop_
_atom_site_label
_atom_site_fract_x
_atom_site_fract_y
_atom_site_fract_z
_atom_site_occupancy
Mn1 0.000 0.250 0.129 1
Mn2 0.250 0.250 0.750 1
Sn1 0.000 0.000 0.500 1
S1 0.000 0.009 0.760 1
S2 0.227 0.250 0.992 1
```

The 6 most intense peaks (2θ = 10–80°), sorted by position:
hkl 1 0 1, 15.06°, intensity 21
hkl 1 2 1, 28.82°, intensity 100
hkl 0 0 4, 34.85°, intensity 21
hkl 2 2 0, 35.12°, intensity 41
hkl 3 0 3, 46.29°, intensity 22
hkl 2 2 4, 50.31°, intensity 57


# Ta4MnS8
Theoretical powder diffractogram, a wavelength of 1.5418 Å. Input: DFT lattice parameters and positions (PBE).
Intensities are scaled so that the largest is 100.

Structure:
```
data_Ta4MnS8
_space_group_name_H-M_alt 'P 63/m m c'
_space_group_IT_number 194
_space_group_name_Hall '-P 6c 2c'
_cell_length_a 6.6873
_cell_length_b 6.6873
_cell_length_c 12.4973
_cell_angle_alpha 90.00
_cell_angle_beta 90.00
_cell_angle_gamma 120.00
loop_
_atom_site_label
_atom_site_fract_x
_atom_site_fract_y
_atom_site_fract_z
_atom_site_occupancy
Ta1 0.0000 0.0000 0.2500 1
Ta2 0.0118 0.5059 0.2500 1
Mn1 0.0000 0.0000 0.0000 1
S1 0.1684 0.3368 0.6255 1
S2 0.3333 0.6667 0.1215 1
```

The 6 most intense peaks (2θ = 10–80°), sorted by position:
hkl 0 0 2, 14.17°, intensity 100
hkl 2 0 0, 30.88°, intensity 45
hkl 2 0 2, 34.13°, intensity 74
hkl 2 0 4, 42.57°, intensity 75
hkl 2 0 6, 54.25°, intensity 20
hkl 2 2 0, 54.92°, intensity 22


# Tb2MnS4
Theoretical powder diffractogram, a wavelength of 1.5418 Å. Input: DFT lattice parameters and positions (PBE).
Intensities are scaled so that the largest is 100.

Structure:
```
data_Tb2MnS4
_space_group_name_H-M_alt 'C m c 21'
_space_group_IT_number 36
_cell_length_a 3.810
_cell_length_b 12.378
_cell_length_c 12.909
_cell_angle_alpha 90.00
_cell_angle_beta 90.00
_cell_angle_gamma 90.00
loop_
_space_group_symop_operation_xyz
'x,y,z'
'-x,-y,z+1/2'
'-x,y,z'
'x,-y,z+1/2'
'x+1/2,y+1/2,z'
'-x+1/2,-y+1/2,z+1/2'
'-x+1/2,y+1/2,z'
'x+1/2,-y+1/2,z+1/2'
loop_
_atom_site_label
_atom_site_fract_x
_atom_site_fract_y
_atom_site_fract_z
_atom_site_occupancy
Tb1 0.000 0.119 0.000 1
Tb2 0.000 0.363 0.202 1
Mn1 0.000 0.374 0.839 1
S1 0.000 0.009 0.788 1
S2 0.000 0.260 0.389 1
S3 0.000 0.291 0.650 1
S4 0.000 0.461 0.014 1
```

The 6 most intense peaks (2θ = 10–80°), sorted by position:
hkl 0 2 1, 15.88°, intensity 43
hkl 0 2 3, 25.21°, intensity 100
hkl 1 1 1, 25.41°, intensity 42
hkl 1 1 2, 28.14°, intensity 41
hkl 1 3 1, 32.74°, intensity 56
hkl 1 3 2, 34.94°, intensity 72


# Ti5MnS10
Theoretical powder diffractogram, a wavelength of 1.5418 Å. Input: DFT lattice parameters and positions (PBE).
Intensities are scaled so that the largest is 100.

Structure:
```
data_Ti5MnS10
_space_group_name_H-M_alt 'P -3 m 1'
_space_group_IT_number 164
_space_group_name_Hall '-P 3 2"'
_cell_length_a 3.4343
_cell_length_b 3.4343
_cell_length_c 29.9603
_cell_angle_alpha 90.00
_cell_angle_beta 90.00
_cell_angle_gamma 120.00
loop_
_atom_site_label
_atom_site_fract_x
_atom_site_fract_y
_atom_site_fract_z
_atom_site_occupancy
Ti1 0.0000 0.0000 0.0000 1
Ti2 0.0000 0.0000 0.1998 1
Ti3 0.0000 0.0000 0.3981 1
Mn1 0.0000 0.0000 0.5000 1
S1 0.3333 0.6667 0.1528 1
S2 0.3333 0.6667 0.3523 1
S3 0.3333 0.6667 0.5498 1
S4 0.3333 0.6667 0.7529 1
S5 0.3333 0.6667 0.9528 1
```

The 6 most intense peaks (2θ = 10–80°), sorted by position:
hkl 0 0 5, 14.78°, intensity 53
hkl 1 0 5, 33.64°, intensity 100
hkl 1 0 10, 42.84°, intensity 91
hkl 1 1 0, 53.35°, intensity 42
hkl 0 1 15, 55.41°, intensity 23
hkl 0 2 10, 70.73°, intensity 18


# MnTlV4S8
Theoretical powder diffractogram, a wavelength of 1.5418 Å. Input: DFT lattice parameters and positions (PBE).
Intensities are scaled so that the largest is 100.

Structure:
```
data_MnTlV4S8
_space_group_name_H-M_alt 'C 1 2/m 1'
_space_group_IT_number 12
_cell_length_a 17.523
_cell_length_b 3.290
_cell_length_c 8.487
_cell_angle_alpha 90.00
_cell_angle_beta 104.58
_cell_angle_gamma 90.00
loop_
_space_group_symop_operation_xyz
'x,y,z'
'-x,-y,-z'
'-x,y,-z'
'x,-y,z'
'x+1/2,y+1/2,z'
'-x+1/2,-y+1/2,-z'
'-x+1/2,y+1/2,-z'
'x+1/2,-y+1/2,z'
loop_
_atom_site_label
_atom_site_fract_x
_atom_site_fract_y
_atom_site_fract_z
_atom_site_occupancy
Mn1 0.000 0.000 0.000 1
Tl1 0.000 0.500 0.500 1
V1 0.149 0.500 0.998 1
V2 0.211 0.500 0.359 1
S1 0.071 0.500 0.174 1
S2 0.082 0.000 0.823 1
S3 0.159 0.000 0.496 1
S4 0.241 0.000 0.162 1
```

The 6 most intense peaks (2θ = 10–80°), sorted by position:
hkl 4 0 -1, 21.00°, intensity 93
hkl 0 0 2, 21.64°, intensity 63
hkl 6 0 -2, 33.66°, intensity 48
hkl 3 1 1, 34.67°, intensity 100
hkl 3 1 -2, 36.09°, intensity 70
hkl 3 1 -3, 42.84°, intensity 93


# Y2MnS4
Theoretical powder diffractogram, a wavelength of 1.5418 Å. Input: DFT lattice parameters and positions (PBE).
Intensities are scaled so that the largest is 100.

Structure:
```
data_Y2MnS4
_space_group_name_H-M_alt 'C m c 21'
_space_group_IT_number 36
_cell_length_a 3.798
_cell_length_b 12.401
_cell_length_c 12.905
_cell_angle_alpha 90.00
_cell_angle_beta 90.00
_cell_angle_gamma 90.00
loop_
_space_group_symop_operation_xyz
'x,y,z'
'-x,-y,z+1/2'
'-x,y,z'
'x,-y,z+1/2'
'x+1/2,y+1/2,z'
'-x+1/2,-y+1/2,z+1/2'
'-x+1/2,y+1/2,z'
'x+1/2,-y+1/2,z+1/2'
loop_
_atom_site_label
_atom_site_fract_x
_atom_site_fract_y
_atom_site_fract_z
_atom_site_occupancy
Y1 0.000 0.119 0.000 1
Y2 0.000 0.363 0.203 1
Mn1 0.000 0.373 0.839 1
S1 0.000 0.010 0.789 1
S2 0.000 0.260 0.389 1
S3 0.000 0.291 0.650 1
S4 0.000 0.462 0.015 1
```

The 6 most intense peaks (2θ = 10–80°), sorted by position:
hkl 0 2 3, 25.20°, intensity 100
hkl 1 3 1, 32.77°, intensity 78
hkl 1 3 2, 34.97°, intensity 89
hkl 1 1 5, 42.99°, intensity 48
hkl 2 0 0, 47.93°, intensity 46
hkl 0 6 3, 48.89°, intensity 35


# Y4MnS7
Theoretical powder diffractogram, a wavelength of 1.5418 Å. Input: DFT lattice parameters and positions (PBE).
Intensities are scaled so that the largest is 100.

Structure:
```
data_Y4MnS7
_space_group_name_H-M_alt 'C 1 m 1'
_space_group_IT_number 8
_cell_length_a 12.570
_cell_length_b 3.818
_cell_length_c 11.484
_cell_angle_alpha 90.00
_cell_angle_beta 105.03
_cell_angle_gamma 90.00
loop_
_space_group_symop_operation_xyz
'x,y,z'
'x,-y,z'
'x+1/2,y+1/2,z'
'x+1/2,-y+1/2,z'
loop_
_atom_site_label
_atom_site_fract_x
_atom_site_fract_y
_atom_site_fract_z
_atom_site_occupancy
Y1 0.000 0.000 0.000 1
Y2 0.079 0.500 0.361 1
Y3 0.193 0.500 0.801 1
Y4 0.386 0.000 0.596 1
Mn1 0.308 0.500 0.216 1
S1 0.033 0.000 0.744 1
S2 0.158 0.500 0.021 1
S3 0.199 0.000 0.291 1
S4 0.230 0.500 0.580 1
S5 0.354 0.000 0.846 1
S6 0.423 0.000 0.148 1
S7 0.448 0.500 0.434 1
```

The 6 most intense peaks (2θ = 10–80°), sorted by position:
hkl 2 0 2, 24.40°, intensity 100
hkl 2 0 -3, 24.74°, intensity 73
hkl 3 1 -1, 31.80°, intensity 68
hkl 3 1 0, 32.24°, intensity 56
hkl 3 1 -2, 33.42°, intensity 68
hkl 3 1 1, 34.67°, intensity 56


# Mn4ZnS8
Theoretical powder diffractogram, a wavelength of 1.5418 Å. Input: DFT lattice parameters and positions (PBE).
Intensities are scaled so that the largest is 100.

Structure:
```
data_Mn4ZnS8
_space_group_name_H-M_alt 'R -3 m'
_space_group_IT_number 166
_space_group_name_Hall '-R 3 2"'
_cell_length_a 6.7220
_cell_length_b 6.7220
_cell_length_c 18.3434
_cell_angle_alpha 90.00
_cell_angle_beta 90.00
_cell_angle_gamma 120.00
loop_
_atom_site_label
_atom_site_fract_x
_atom_site_fract_y
_atom_site_fract_z
_atom_site_occupancy
Mn1 0.0000 0.0000 0.0000 1
Mn2 0.0000 0.5000 0.0000 1
Zn1 0.0000 0.0000 0.5000 1
S1 0.0000 0.0000 0.2616 1
S2 0.0093 0.5046 0.2600 1
```

The 6 most intense peaks (2θ = 10–80°), sorted by position:
hkl 0 0 3, 14.49°, intensity 52
hkl 1 0 1, 15.97°, intensity 17
hkl 0 2 4, 36.57°, intensity 100
hkl 2 0 8, 50.68°, intensity 33
hkl 2 2 0, 54.61°, intensity 29
hkl 4 0 4, 67.52°, intensity 14


# MnZn4S5
Theoretical powder diffractogram, a wavelength of 1.5418 Å. Input: DFT lattice parameters and positions (PBE).
Intensities are scaled so that the largest is 100.

Structure:
```
data_MnZn4S5
_space_group_name_H-M_alt 'C 1 m 1'
_space_group_IT_number 8
_cell_length_a 33.564
_cell_length_b 3.876
_cell_length_c 6.349
_cell_angle_alpha 90.00
_cell_angle_beta 90.04
_cell_angle_gamma 90.00
loop_
_space_group_symop_operation_xyz
'x,y,z'
'x,-y,z'
'x+1/2,y+1/2,z'
'x+1/2,-y+1/2,z'
loop_
_atom_site_label
_atom_site_fract_x
_atom_site_fract_y
_atom_site_fract_z
_atom_site_occupancy
Mn1 0.000 0.000 0.000 1
Mn2 0.101 0.500 0.000 1
Zn1 0.067 0.000 0.502 1
Zn2 0.167 0.500 0.501 1
Zn3 0.201 0.000 0.001 1
Zn4 0.267 0.000 0.501 1
Zn5 0.300 0.500 0.002 1
Zn6 0.367 0.500 0.501 1
Zn7 0.400 0.000 0.002 1
Zn8 0.467 0.000 0.501 1
S1 0.000 0.000 0.622 1
S2 0.067 0.000 0.133 1
S3 0.100 0.500 0.622 1
S4 0.168 0.500 0.128 1
S5 0.200 0.000 0.627 1
S6 0.267 0.000 0.127 1
S7 0.300 0.500 0.627 1
S8 0.367 0.500 0.127 1
S9 0.400 0.000 0.627 1
S10 0.466 0.000 0.131 1
```

The 6 most intense peaks (2θ = 10–80°), sorted by position:
hkl 5 1 0, 26.56°, intensity 95
hkl 0 0 2, 28.11°, intensity 60
hkl 10 0 -1, 30.12°, intensity 100
hkl 15 1 0, 46.88°, intensity 73
hkl 10 0 -3, 51.01°, intensity 74
hkl 15 1 2, 55.56°, intensity 48


# Mn4ZnS8
Theoretical powder diffractogram, a wavelength of 1.5418 Å. Input: DFT lattice parameters and positions (PBE).
Intensities are scaled so that the largest is 100.

Structure:
```
data_Mn4ZnS8
_space_group_name_H-M_alt 'R -3 m'
_space_group_IT_number 166
_space_group_name_Hall '-R 3 2"'
_cell_length_a 6.9075
_cell_length_b 6.9075
_cell_length_c 17.3373
_cell_angle_alpha 90.00
_cell_angle_beta 90.00
_cell_angle_gamma 120.00
loop_
_atom_site_label
_atom_site_fract_x
_atom_site_fract_y
_atom_site_fract_z
_atom_site_occupancy
Mn1 0.0000 0.0000 0.0000 1
Mn2 0.0000 0.5000 0.5000 1
Zn1 0.0000 0.0000 0.5000 1
S1 0.0000 0.0000 0.2400 1
S2 0.0173 0.5087 0.7564 1
```

The 6 most intense peaks (2θ = 10–80°), sorted by position:
hkl 0 0 3, 15.33°, intensity 49
hkl 0 2 1, 30.32°, intensity 16
hkl 0 2 4, 36.50°, intensity 100
hkl 2 0 8, 52.12°, intensity 31
hkl 2 2 0, 53.03°, intensity 31
hkl 4 0 4, 66.09°, intensity 15


# Mn2ZnS5
Theoretical powder diffractogram, a wavelength of 1.5418 Å. Input: DFT lattice parameters and positions (PBE).
Intensities are scaled so that the largest is 100.

Structure:
```
data_Mn2ZnS5
_space_group_name_H-M_alt 'P m m n'
_space_group_IT_number 59
_cell_length_a 3.654
_cell_length_b 14.018
_cell_length_c 6.225
_cell_angle_alpha 90.00
_cell_angle_beta 90.00
_cell_angle_gamma 90.00
loop_
_space_group_symop_operation_xyz
'x,y,z'
'-x,-y,-z'
'-x+1/2,-y+1/2,z'
'x+1/2,y+1/2,-z'
'x+1/2,-y,-z'
'-x+1/2,y,z'
'-x,y+1/2,-z'
'x,-y+1/2,z'
loop_
_atom_site_label
_atom_site_fract_x
_atom_site_fract_y
_atom_site_fract_z
_atom_site_occupancy
Mn1 0.250 0.103 0.053 1
Zn1 0.250 0.750 0.548 1
S1 0.250 0.139 0.407 1
S2 0.250 0.250 0.904 1
S3 0.250 0.561 0.154 1
```

The 6 most intense peaks (2θ = 10–80°), sorted by position:
hkl 0 2 1, 19.07°, intensity 100
hkl 0 0 2, 28.68°, intensity 41
hkl 1 1 1, 29.04°, intensity 63
hkl 1 3 0, 31.10°, intensity 69
hkl 1 3 2, 42.79°, intensity 54
hkl 1 7 1, 54.28°, intensity 40


# MnZnS4
Theoretical powder diffractogram, a wavelength of 1.5418 Å. Input: DFT lattice parameters and positions (PBE).
Intensities are scaled so that the largest is 100.

Structure:
```
data_MnZnS4
_space_group_name_H-M_alt 'P 1 21/c 1'
_space_group_IT_number 14
_cell_length_a 5.742
_cell_length_b 5.726
_cell_length_c 5.716
_cell_angle_alpha 90.00
_cell_angle_beta 90.43
_cell_angle_gamma 90.00
loop_
_space_group_symop_operation_xyz
'x,y,z'
'-x,-y,-z'
'-x,y+1/2,-z+1/2'
'x,-y+1/2,z+1/2'
loop_
_atom_site_label
_atom_site_fract_x
_atom_site_fract_y
_atom_site_fract_z
_atom_site_occupancy
Mn1 0.000 0.000 0.000 1
Zn1 0.500 0.000 0.500 1
S1 0.088 0.123 0.625 1
S2 0.373 0.596 0.595 1
```

The 6 most intense peaks (2θ = 10–80°), sorted by position:
hkl 1 1 -1, 26.89°, intensity 30
hkl 2 0 0, 31.20°, intensity 99
hkl 0 0 2, 31.30°, intensity 48
hkl 0 2 1, 35.01°, intensity 44
hkl 2 1 -1, 38.38°, intensity 31
hkl 1 1 -3, 53.03°, intensity 100